(1)
This entry pairs a crystal structure of K2TeAsSe4 with its theoretical powder diffractogram. Radiation: Cu Kα. Structure: a PBE-relaxed structure.

Largest 10 diffraction maxima, by angle, 15° ≤ 2θ ≤ 90°:
(hkl), 2θ (°), I/Imax
1 1 1, 22.46, 15
0 0 2, 27.66, 100
0 4 0, 29.69, 88
4 0 -2, 29.91, 90
4 0 0, 38.87, 37
0 4 2, 41.02, 60
4 4 -2, 42.65, 58
4 0 -4, 43.41, 36
4 4 0, 49.66, 32
4 4 -4, 53.49, 29

```
data_K2TeAsSe4
_chemical_formula_sum 'K8 Te4 As4 Se16'
_symmetry_space_group_name_H-M 'C 1 2/c 1'
_symmetry_Int_Tables_number 15
_symmetry_space_group_name_Hall '-C 2yc'
_cell_length_a 12.019
_cell_length_b 12.036
_cell_length_c 8.361
_cell_angle_alpha 90.00
_cell_angle_beta 129.51
_cell_angle_gamma 90.00
loop_
_atom_site_label
_atom_site_fract_x
_atom_site_fract_y
_atom_site_fract_z
K1 0.000 0.000 0.000
K2 0.250 0.250 0.000
Te1 0.250 0.250 0.500
As1 0.000 0.500 0.000
Se1 0.021 0.271 0.505
Se2 0.202 0.485 0.435
```

(2)
This entry pairs a crystal structure of AcLa2Dy4Ho with its theoretical powder diffractogram. Radiation: Cu Kα. Structure: a PBE-relaxed structure.

Largest 10 diffraction maxima, by angle, 15° ≤ 2θ ≤ 90°:
(hkl), 2θ (°), I/Imax
2 0 2, 30.04, 100
2 2 0, 34.37, 18
2 -2 0, 34.55, 17
0 0 4, 35.53, 16
0 4 0, 49.47, 6
2 2 4, 50.27, 12
2 -2 4, 50.40, 12
4 2 2, 58.89, 11
4 -2 2, 59.14, 15
2 0 6, 60.45, 14

```
data_AcLa2Dy4Ho
_chemical_formula_sum 'Ac2 La4 Dy8 Ho2'
_symmetry_space_group_name_H-M 'P 1'
_symmetry_Int_Tables_number 1
_symmetry_space_group_name_Hall 'P 1'
_cell_length_a 7.352
_cell_length_b 7.370
_cell_length_c 10.106
_cell_angle_alpha 89.96
_cell_angle_beta 89.95
_cell_angle_gamma 89.72
loop_
_atom_site_label
_atom_site_fract_x
_atom_site_fract_y
_atom_site_fract_z
Ac1 0.000 0.000 0.000
Ac2 0.500 0.000 0.500
La1 0.000 0.500 0.000
La2 0.000 0.501 0.500
La3 0.001 0.001 0.500
La4 0.500 0.500 0.500
Dy1 0.255 0.254 0.246
Dy2 0.255 0.254 0.754
Dy3 0.255 0.747 0.246
Dy4 0.255 0.747 0.754
Dy5 0.745 0.254 0.754
Dy6 0.746 0.254 0.246
Dy7 0.746 0.747 0.246
Dy8 0.746 0.747 0.754
Ho1 0.500 0.000 0.000
Ho2 0.500 0.501 0.000
```

(3)
This entry pairs a crystal structure of Ca2Ga5Cu3 with its theoretical powder diffractogram. Radiation: Cu Kα. Structure: a PBE-relaxed structure.

Largest 10 diffraction maxima, by angle, 15° ≤ 2θ ≤ 90°:
(hkl), 2θ (°), I/Imax
0 0 2, 17.33, 24
1 0 1, 22.44, 28
1 0 3, 33.54, 36
1 1 2, 34.33, 100
2 0 0, 42.06, 75
1 1 4, 46.40, 54
1 0 5, 49.31, 16
2 2 0, 61.00, 23
3 1 2, 71.90, 21
3 1 4, 79.95, 20

```
data_Ca2Ga5Cu3
_chemical_formula_sum 'Ca2 Ga5 Cu3'
_symmetry_space_group_name_H-M 'P -4 m 2'
_symmetry_Int_Tables_number 115
_symmetry_space_group_name_Hall 'P -4 -2'
_cell_length_a 4.296
_cell_length_b 4.296
_cell_length_c 10.235
_cell_angle_alpha 90.00
_cell_angle_beta 90.00
_cell_angle_gamma 90.00
loop_
_atom_site_label
_atom_site_fract_x
_atom_site_fract_y
_atom_site_fract_z
Ca1 0.000 0.500 0.236
Ga1 0.000 0.000 0.500
Ga2 0.000 0.500 0.653
Ga3 0.500 0.500 0.000
Ga4 0.500 0.500 0.500
Cu1 0.000 0.000 0.000
Cu2 0.000 0.500 0.886
```

(4)
This entry pairs a crystal structure of YMnCuGe2 with its theoretical powder diffractogram. Radiation: Cu Kα. Structure: a PBE-relaxed structure.

Largest 10 diffraction maxima, by angle, 15° ≤ 2θ ≤ 90°:
(hkl), 2θ (°), I/Imax
1 1 0, 31.18, 18
1 0 3, 33.59, 76
1 1 2, 35.57, 100
2 0 0, 44.67, 67
1 1 4, 46.60, 29
1 0 5, 48.35, 37
2 1 3, 57.04, 32
2 2 0, 65.02, 21
2 1 5, 67.94, 26
3 1 2, 76.37, 19

```
data_YMnCuGe2
_chemical_formula_sum 'Y2 Mn2 Cu2 Ge4'
_symmetry_space_group_name_H-M 'I -4 m 2'
_symmetry_Int_Tables_number 119
_symmetry_space_group_name_Hall 'I -4 -2'
_cell_length_a 4.057
_cell_length_b 4.057
_cell_length_c 10.624
_cell_angle_alpha 90.00
_cell_angle_beta 90.00
_cell_angle_gamma 90.00
loop_
_atom_site_label
_atom_site_fract_x
_atom_site_fract_y
_atom_site_fract_z
Y1 0.000 0.000 0.000
Mn1 0.000 0.500 0.250
Cu1 0.000 0.500 0.750
Ge1 0.000 0.000 0.382
```

(5)
This entry pairs a crystal structure of Na2Mg3In6 with its theoretical powder diffractogram. Radiation: Cu Kα. Structure: a PBE-relaxed structure.

Largest 10 diffraction maxima, by angle, 15° ≤ 2θ ≤ 90°:
(hkl), 2θ (°), I/Imax
2 0 0, 15.13, 24
0 0 1, 20.39, 100
1 3 0, 22.34, 37
2 2 1, 29.17, 23
1 3 1, 30.42, 67
3 3 0, 31.18, 75
3 3 1, 37.54, 90
0 0 2, 41.45, 28
0 6 0, 42.74, 24
3 3 2, 52.77, 33

```
data_Na2Mg3In6
_chemical_formula_sum 'Na4 Mg6 In12'
_symmetry_space_group_name_H-M 'C m m m'
_symmetry_Int_Tables_number 65
_symmetry_space_group_name_Hall '-C 2 2'
_cell_length_a 11.708
_cell_length_b 12.695
_cell_length_c 4.356
_cell_angle_alpha 90.00
_cell_angle_beta 90.00
_cell_angle_gamma 90.00
loop_
_atom_site_label
_atom_site_fract_x
_atom_site_fract_y
_atom_site_fract_z
Na1 0.000 0.193 0.000
Mg1 0.000 0.500 0.500
Mg2 0.197 0.500 0.000
In1 0.123 0.000 0.500
In2 0.172 0.335 0.500
```

(6)
This entry pairs a crystal structure of UHBr3 with its theoretical powder diffractogram. Radiation: Cu Kα. Structure: a PBE-relaxed structure.

Largest 10 diffraction maxima, by angle, 15° ≤ 2θ ≤ 90°:
(hkl), 2θ (°), I/Imax
1 1 0, 17.91, 100
1 1 2, 22.08, 28
1 1 -3, 25.78, 27
1 1 3, 26.29, 34
2 1 -1, 28.00, 28
2 1 2, 30.53, 29
1 1 -4, 30.70, 29
2 2 2, 38.73, 62
1 2 -4, 38.88, 47
1 0 6, 40.32, 31

```
data_UHBr3
_chemical_formula_sum 'U4 H4 Br12'
_symmetry_space_group_name_H-M 'P 1 2/c 1'
_symmetry_Int_Tables_number 13
_symmetry_space_group_name_Hall '-P 2yc'
_cell_length_a 7.466
_cell_length_b 6.621
_cell_length_c 14.205
_cell_angle_alpha 90.00
_cell_angle_beta 91.66
_cell_angle_gamma 90.00
loop_
_atom_site_label
_atom_site_fract_x
_atom_site_fract_y
_atom_site_fract_z
U1 0.081 0.014 0.148
H1 0.111 0.172 0.276
Br1 0.146 0.232 0.485
Br2 0.227 0.227 0.798
Br3 0.354 0.266 0.122
```

(7)
This entry pairs a crystal structure of Ho2FeSi4 with its theoretical powder diffractogram. Radiation: Cu Kα. Structure: a PBE-relaxed structure.

Largest 10 diffraction maxima, by angle, 15° ≤ 2θ ≤ 90°:
(hkl), 2θ (°), I/Imax
0 1 1, 22.50, 42
0 0 4, 23.66, 19
1 0 2, 25.31, 49
1 1 1, 31.91, 43
1 1 3, 36.21, 100
0 1 5, 37.08, 45
1 0 6, 42.61, 20
0 2 0, 44.23, 24
2 0 0, 45.57, 22
2 1 5, 60.14, 22

```
data_Ho2FeSi4
_chemical_formula_sum 'Ho4 Fe2 Si8'
_symmetry_space_group_name_H-M 'A m m 2'
_symmetry_Int_Tables_number 38
_symmetry_space_group_name_Hall 'A 2 -2'
_cell_length_a 3.981
_cell_length_b 4.095
_cell_length_c 15.044
_cell_angle_alpha 90.00
_cell_angle_beta 90.00
_cell_angle_gamma 90.00
loop_
_atom_site_label
_atom_site_fract_x
_atom_site_fract_y
_atom_site_fract_z
Ho1 0.000 0.000 0.000
Ho2 0.500 0.000 0.203
Fe1 0.000 0.000 0.796
Si1 0.000 0.000 0.359
Si2 0.000 0.000 0.646
Si3 0.500 0.000 0.540
Si4 0.500 0.000 0.859
```

(8)
This entry pairs a crystal structure of CeSm2PaP4 with its theoretical powder diffractogram. Radiation: Cu Kα. Structure: a PBE-relaxed structure.

Largest 10 diffraction maxima, by angle, 15° ≤ 2θ ≤ 90°:
(hkl), 2θ (°), I/Imax
2 0 0, 26.89, 90
1 1 1, 31.15, 100
0 2 0, 44.63, 74
3 1 1, 52.87, 45
2 2 -2, 55.40, 19
2 2 2, 64.95, 12
4 0 2, 71.59, 12
1 3 1, 73.77, 28
3 3 -1, 82.21, 19
2 2 4, 88.42, 9

```
data_CeSm2PaP4
_chemical_formula_sum 'Ce1 Sm2 Pa1 P4'
_symmetry_space_group_name_H-M 'P 1 2/m 1'
_symmetry_Int_Tables_number 10
_symmetry_space_group_name_Hall '-P 2y'
_cell_length_a 7.026
_cell_length_b 4.062
_cell_length_c 7.039
_cell_angle_alpha 90.00
_cell_angle_beta 109.44
_cell_angle_gamma 90.00
loop_
_atom_site_label
_atom_site_fract_x
_atom_site_fract_y
_atom_site_fract_z
Ce1 0.000 0.000 0.000
Sm1 0.500 0.000 0.500
Sm2 0.500 0.500 0.000
Pa1 0.000 0.500 0.500
P1 0.240 0.000 0.741
P2 0.242 0.500 0.254
```

(9)
This entry pairs a crystal structure of MnIn2Co with its theoretical powder diffractogram. Radiation: Cu Kα. Structure: a PBE-relaxed structure.

Largest 10 diffraction maxima, by angle, 15° ≤ 2θ ≤ 90°:
(hkl), 2θ (°), I/Imax
1 0 1, 31.21, 49
0 0 3, 36.56, 17
1 0 2, 37.85, 100
1 1 0, 41.04, 62
1 0 3, 47.13, 20
1 1 3, 56.12, 19
2 0 0, 59.43, 20
2 1 1, 68.67, 10
2 1 2, 72.65, 27
1 1 5, 78.02, 12

```
data_MnIn2Co
_chemical_formula_sum 'Mn1 In2 Co1'
_symmetry_space_group_name_H-M 'P 4 m m'
_symmetry_Int_Tables_number 99
_symmetry_space_group_name_Hall 'P 4 -2'
_cell_length_a 3.110
_cell_length_b 3.110
_cell_length_c 7.373
_cell_angle_alpha 90.00
_cell_angle_beta 90.00
_cell_angle_gamma 90.00
loop_
_atom_site_label
_atom_site_fract_x
_atom_site_fract_y
_atom_site_fract_z
Mn1 0.000 0.000 0.000
In1 0.000 0.000 0.392
In2 0.500 0.500 0.752
Co1 0.500 0.500 0.167
```

(10)
This entry pairs a crystal structure of SmGa2Ni2Pd with its theoretical powder diffractogram. Radiation: Cu Kα. Structure: a PBE-relaxed structure.

Largest 10 diffraction maxima, by angle, 15° ≤ 2θ ≤ 90°:
(hkl), 2θ (°), I/Imax
1 0 0, 19.06, 32
1 1 0, 27.08, 51
1 1 1, 31.92, 42
2 0 0, 38.68, 96
1 0 2, 38.82, 100
2 0 2, 52.08, 22
2 2 0, 55.85, 32
2 1 2, 55.96, 67
4 0 0, 83.01, 31
2 0 4, 83.32, 20

```
data_SmGa2Ni2Pd
_chemical_formula_sum 'Sm1 Ga2 Ni2 Pd1'
_symmetry_space_group_name_H-M 'P 4/m m m'
_symmetry_Int_Tables_number 123
_symmetry_space_group_name_Hall '-P 4 2'
_cell_length_a 4.656
_cell_length_b 4.656
_cell_length_c 5.351
_cell_angle_alpha 90.00
_cell_angle_beta 90.00
_cell_angle_gamma 90.00
loop_
_atom_site_label
_atom_site_fract_x
_atom_site_fract_y
_atom_site_fract_z
Sm1 0.000 0.000 0.000
Ga1 0.000 0.500 0.500
Ni1 0.500 0.500 0.246
Pd1 0.000 0.000 0.500
```

(11)
This entry pairs a crystal structure of Er2FePt9 with its theoretical powder diffractogram. Radiation: Cu Kα. Structure: a PBE-relaxed structure.

Largest 10 diffraction maxima, by angle, 15° ≤ 2θ ≤ 90°:
(hkl), 2θ (°), I/Imax
1 1 2, 34.65, 2
1 1 3, 38.56, 100
2 0 0, 44.72, 34
0 0 6, 45.05, 15
2 2 0, 65.09, 11
2 0 6, 65.35, 20
1 1 8, 70.52, 2
3 1 3, 78.28, 26
1 1 9, 78.77, 10
2 2 6, 82.67, 11

```
data_Er2FePt9
_chemical_formula_sum 'Er2 Fe1 Pt9'
_symmetry_space_group_name_H-M 'P 4/m m m'
_symmetry_Int_Tables_number 123
_symmetry_space_group_name_Hall '-P 4 2'
_cell_length_a 4.053
_cell_length_b 4.053
_cell_length_c 12.073
_cell_angle_alpha 90.00
_cell_angle_beta 90.00
_cell_angle_gamma 90.00
loop_
_atom_site_label
_atom_site_fract_x
_atom_site_fract_y
_atom_site_fract_z
Er1 0.000 0.000 0.171
Fe1 0.000 0.000 0.500
Pt1 0.000 0.500 0.000
Pt2 0.000 0.500 0.346
Pt3 0.500 0.500 0.173
Pt4 0.500 0.500 0.500
```

(12)
This entry pairs a crystal structure of Co2Ge3S3 with its theoretical powder diffractogram. Radiation: Cu Kα. Structure: a PBE-relaxed structure.

Largest 10 diffraction maxima, by angle, 15° ≤ 2θ ≤ 90°:
(hkl), 2θ (°), I/Imax
1 1 0, 15.57, 9
2 0 2, 22.08, 27
3 -2 2, 27.13, 14
4 -3 1, 33.40, 13
3 1 2, 35.25, 100
2 -1 6, 41.99, 33
6 -2 2, 50.71, 50
6 0 0, 55.96, 31
2 5 0, 58.46, 27
8 -3 2, 67.92, 11

```
data_Co2Ge3S3
_chemical_formula_sum 'Co24 Ge36 S36'
_symmetry_space_group_name_H-M 'R -3'
_symmetry_Int_Tables_number 148
_symmetry_space_group_name_Hall '-R 3'
_cell_length_a 11.3785
_cell_length_b 11.3785
_cell_length_c 13.9597
_cell_angle_alpha 90.00
_cell_angle_beta 90.00
_cell_angle_gamma 120.00
loop_
_atom_site_label
_atom_site_fract_x
_atom_site_fract_y
_atom_site_fract_z
Co1 0.0000 0.0000 0.2436
Co2 0.9999 0.4970 0.2431
Ge1 0.0103 0.1727 0.3393
Ge2 0.0599 0.6049 0.6059
S1 0.0178 0.1802 0.8345
S2 0.0537 0.6014 0.1007
```

(13)
This entry pairs a crystal structure of NaPdI3 with its theoretical powder diffractogram. Radiation: Cu Kα. Structure: a PBE-relaxed structure.

Largest 10 diffraction maxima, by angle, 15° ≤ 2θ ≤ 90°:
(hkl), 2θ (°), I/Imax
0 1 1, 20.18, 100
2 0 -2, 23.77, 45
0 1 2, 25.06, 45
2 0 2, 33.57, 54
2 1 -3, 33.84, 93
0 2 0, 37.04, 44
3 1 -4, 44.51, 39
0 1 5, 47.44, 31
4 1 -1, 49.38, 31
2 2 2, 50.84, 33

```
data_NaPdI3
_chemical_formula_sum 'Na2 Pd2 I6'
_symmetry_space_group_name_H-M 'P 1 21/m 1'
_symmetry_Int_Tables_number 11
_symmetry_space_group_name_Hall '-P 2yb'
_cell_length_a 8.096
_cell_length_b 4.855
_cell_length_c 11.100
_cell_angle_alpha 90.00
_cell_angle_beta 110.00
_cell_angle_gamma 90.00
loop_
_atom_site_label
_atom_site_fract_x
_atom_site_fract_y
_atom_site_fract_z
Na1 0.247 0.250 0.424
Pd1 0.394 0.250 0.851
I1 0.091 0.250 0.657
I2 0.321 0.750 0.938
I3 0.407 0.750 0.318
```